1.
AcPrB12: calculated powder diffraction line list (Cu Kα), based on the GGA-PBE geometry in Alexandria.
Kinematic intensities with the Lorentz-polarization factor, no thermal factor.

Crystal structure
```
data_AcPrB12
_symmetry_space_group_name_H-M 'P 1'
_symmetry_Int_Tables_number 1
_cell_length_a 5.9064
_cell_length_b 5.9064
_cell_length_c 5.9064
_cell_angle_alpha 60.00
_cell_angle_beta 60.00
_cell_angle_gamma 60.00
loop_
_symmetry_equiv_pos_as_xyz
'x,y,z'
loop_
_atom_site_label
_atom_site_type_symbol
_atom_site_fract_x
_atom_site_fract_y
_atom_site_fract_z
Ac1 Ac 0.0000 0.0000 0.0000
Pr1 Pr 0.5000 0.5000 0.5000
B1 B 0.1002 0.1002 0.3998
B2 B 0.1002 0.3998 0.1002
B3 B 0.1002 0.3998 0.3998
B4 B 0.3998 0.1002 0.1002
B5 B 0.3998 0.1002 0.3998
B6 B 0.3998 0.3998 0.1002
B7 B 0.6002 0.6002 0.8998
B8 B 0.6002 0.8998 0.6002
B9 B 0.6002 0.8998 0.8998
B10 B 0.8998 0.6002 0.6002
B11 B 0.8998 0.6002 0.8998
B12 B 0.8998 0.8998 0.6002
```

Principal peaks in the range 2θ = 10–90°, by angle:
| 2theta | d [Å] | intensity |
| --- | --- | --- |
| 21.3 | 4.176 | 732 |
| 30.3 | 2.953 | 1000 |
| 37.3 | 2.411 | 416 |
| 43.3 | 2.088 | 212 |
| 48.8 | 1.868 | 515 |
| 53.8 | 1.705 | 304 |
| 67.3 | 1.392 | 283 |
| 71.4 | 1.321 | 200 |



2.
Ba5Na5Ca: calculated powder diffraction line list (Cu Kα), based on the GGA-PBE geometry in Alexandria.
Kinematic intensities with the Lorentz-polarization factor, no thermal factor.

Crystal structure
```
data_Ba5Na5Ca
_symmetry_space_group_name_H-M 'P 1'
_symmetry_Int_Tables_number 1
_cell_length_a 7.0508
_cell_length_b 7.0508
_cell_length_c 12.7222
_cell_angle_alpha 90.00
_cell_angle_beta 90.00
_cell_angle_gamma 120.00
loop_
_symmetry_equiv_pos_as_xyz
'x,y,z'
loop_
_atom_site_label
_atom_site_type_symbol
_atom_site_fract_x
_atom_site_fract_y
_atom_site_fract_z
Ba1 Ba 0.0000 0.0000 0.0000
Ba2 Ba 0.3333 0.6667 0.1776
Ba3 Ba 0.3333 0.6667 0.8224
Ba4 Ba 0.6667 0.3333 0.3198
Ba5 Ba 0.6667 0.3333 0.6802
Na1 Na 0.0000 0.0000 0.2843
Na2 Na 0.0000 0.0000 0.7157
Na3 Na 0.1732 0.3465 0.5000
Na4 Na 0.1732 0.8268 0.5000
Na5 Na 0.6535 0.8268 0.5000
Ca1 Ca 0.6667 0.3333 0.0000
```

Principal peaks in the range 2θ = 10–90°, by angle:
| 2theta | d [Å] | intensity |
| --- | --- | --- |
| 16.1 | 5.505 | 281 |
| 20.2 | 4.405 | 370 |
| 25.3 | 3.525 | 999 |
| 25.6 | 3.483 | 1000 |
| 36.3 | 2.478 | 301 |
| 44.5 | 2.035 | 213 |
| 44.7 | 2.027 | 420 |
| 50.2 | 1.817 | 213 |



3.
La3PmDy6: calculated powder diffraction line list (Cu Kα), based on the GGA-PBE geometry in Alexandria.
Kinematic intensities with the Lorentz-polarization factor, no thermal factor.

Crystal structure
```
data_La3PmDy6
_symmetry_space_group_name_H-M 'P 1'
_symmetry_Int_Tables_number 1
_cell_length_a 11.0804
_cell_length_b 11.0804
_cell_length_c 6.3748
_cell_angle_alpha 90.00
_cell_angle_beta 90.00
_cell_angle_gamma 120.03
loop_
_symmetry_equiv_pos_as_xyz
'x,y,z'
loop_
_atom_site_label
_atom_site_type_symbol
_atom_site_fract_x
_atom_site_fract_y
_atom_site_fract_z
La1 La 0.1116 0.8884 0.5000
La2 La 0.2114 0.4393 0.8937
La3 La 0.4393 0.2114 0.3937
La4 La 0.5607 0.7886 0.8937
La5 La 0.7886 0.5607 0.3937
La6 La 0.8884 0.1116 0.0000
Pm1 Pm 0.3059 0.6941 0.5541
Pm2 Pm 0.6941 0.3059 0.0541
Dy1 Dy 0.0313 0.4516 0.3014
Dy2 Dy 0.1225 0.2142 0.4754
Dy3 Dy 0.2142 0.1225 0.9754
Dy4 Dy 0.2238 0.7762 0.0743
Dy5 Dy 0.4516 0.0313 0.8014
Dy6 Dy 0.4624 0.5376 0.3028
Dy7 Dy 0.5376 0.4624 0.8028
Dy8 Dy 0.5484 0.9687 0.3014
Dy9 Dy 0.7762 0.2238 0.5743
Dy10 Dy 0.7858 0.8775 0.4754
Dy11 Dy 0.8775 0.7858 0.9754
Dy12 Dy 0.9687 0.5484 0.8014
```

Principal peaks in the range 2θ = 10–90°, by angle:
| 2theta | d [Å] | intensity |
| --- | --- | --- |
| 28.3 | 3.152 | 655 |
| 29.5 | 3.025 | 182 |
| 31.3 | 2.859 | 1000 |
| 32.4 | 2.765 | 279 |
| 33.7 | 2.657 | 647 |
| 49.4 | 1.846 | 150 |
| 57.7 | 1.598 | 166 |
| 58.6 | 1.576 | 172 |



4.
Rb5InAu4: calculated powder diffraction line list (Cu Kα), based on the GGA-PBE geometry in Alexandria.
Kinematic intensities with the Lorentz-polarization factor, no thermal factor.

Crystal structure
```
data_Rb5InAu4
_symmetry_space_group_name_H-M 'P 1'
_symmetry_Int_Tables_number 1
_cell_length_a 11.1448
_cell_length_b 11.1448
_cell_length_c 8.5698
_cell_angle_alpha 110.82
_cell_angle_beta 110.82
_cell_angle_gamma 25.29
loop_
_symmetry_equiv_pos_as_xyz
'x,y,z'
loop_
_atom_site_label
_atom_site_type_symbol
_atom_site_fract_x
_atom_site_fract_y
_atom_site_fract_z
Rb1 Rb 0.0000 0.0000 0.0000
Rb2 Rb 0.3050 0.3050 0.7083
Rb3 Rb 0.3610 0.3610 0.2470
Rb4 Rb 0.6390 0.6390 0.7530
Rb5 Rb 0.6950 0.6950 0.2917
In1 In 0.0000 0.0000 0.5000
Au1 Au 0.1206 0.1206 0.4428
Au2 Au 0.4659 0.4659 0.6560
Au3 Au 0.5341 0.5341 0.3440
Au4 Au 0.8794 0.8794 0.5572
```

Principal peaks in the range 2θ = 10–90°, by angle:
| 2theta | d [Å] | intensity |
| --- | --- | --- |
| 11.1 | 7.981 | 1000 |
| 22.9 | 3.891 | 205 |
| 28.0 | 3.191 | 291 |
| 30.5 | 2.933 | 252 |
| 33.7 | 2.661 | 315 |
| 34.2 | 2.621 | 245 |
| 36.1 | 2.491 | 386 |
| 36.8 | 2.440 | 248 |